This entry pairs a crystal structure of Li2Ca3Ga7 with its simulated XRD peak list. Radiation: Cu Kα. Structure: a structure optimized by DFT (GGA-PBE).
Lines closer than 0.1° are merged.

The 10 most intense peaks (2θ = 5–70°), by intensity:
h k l  Position (°2θ)  I_rel
1 1 6  38.11  1000
0 2 1  37.36  834
2 0 5  41.02  725
0 0 6  20.06  581
0 1 8  32.72  534
2 0 2  37.83  526
0 2 7  44.44  400
0 0 12  40.77  382
2 2 0  67.06  364
1 0 1  18.66  309

Structural model:
Lattice parameters (Å, degrees): 5.5824 5.5824 26.5613 90.00 90.00 120.00
Space group R-3m (No. 166, hexagonal axes)
Unique sites:
1 Li 0.0000 0.0000 0.1645 (multiplicity 6)
2 Ca 0.0000 0.0000 0.3590 (multiplicity 6)
3 Ca 0.0000 0.0000 0.5000 (multiplicity 3)
4 Ga 0.0000 0.0000 0.0000 (multiplicity 3)
5 Ga 0.0068 0.5034 0.4187 (multiplicity 18)